# 1
# LiThZnRh
Computed powder diffraction line list, Cu Ka. Input: a cell relaxed with PBE.

Atomic structure:
Cell lengths 6.704, 6.704, 6.704 Å; angles 90.00, 90.00, 90.00 degrees
Space group F-43m (No. 216)
Asymmetric unit:
1 Li 0.000 0.000 0.000 [4 per cell]
2 Th 0.250 0.250 0.250 [4 per cell]
3 Zn 0.250 0.250 0.750 [4 per cell]
4 Rh 0.000 0.000 0.500 [4 per cell]

Principal peaks in the range 10 to 90 degrees two-theta, in order of rising 2θ:
2θ = 23.0°, d = 3.870 Å, I = 48.0, (1 1 1)
2θ = 26.6°, d = 3.352 Å, I = 25.5, (2 0 0)
2θ = 38.0°, d = 2.370 Å, I = 100.0, (2 2 0)
2θ = 44.8°, d = 2.021 Å, I = 25.6, (3 1 1)
2θ = 54.8°, d = 1.676 Å, I = 17.3, (4 0 0)
2θ = 60.2°, d = 1.538 Å, I = 11.0, (3 3 1)
2θ = 68.6°, d = 1.368 Å, I = 35.1, (4 2 2)
2θ = 81.2°, d = 1.185 Å, I = 11.1, (4 4 0)

# 2
# VCrP3
Computed powder diffraction line list, Cu Ka. Input: a cell relaxed with PBE.

Atomic structure:
Cell lengths 4.519, 4.519, 4.519 Å; angles 90.00, 90.00, 90.00 degrees
Space group Pm-3m (No. 221)
Asymmetric unit:
1 V 0.000 0.000 0.000 [1 per cell]
2 Cr 0.500 0.500 0.500 [1 per cell]
3 P 0.000 0.000 0.500 [3 per cell]

Principal peaks in the range 10 to 90 degrees two-theta, in order of rising 2θ:
2θ = 19.6°, d = 4.519 Å, I = 14.8, (1 0 0)
2θ = 27.9°, d = 3.195 Å, I = 77.5, (1 1 0)
2θ = 34.4°, d = 2.609 Å, I = 49.7, (1 1 1)
2θ = 39.9°, d = 2.259 Å, I = 100.0, (2 0 0)
2θ = 49.4°, d = 1.845 Å, I = 28.7, (2 1 1)
2θ = 57.7°, d = 1.598 Å, I = 61.6, (2 2 0)
2θ = 68.9°, d = 1.362 Å, I = 17.3, (3 1 1)
2θ = 72.5°, d = 1.304 Å, I = 20.2, (2 2 2)

# 3
# Sr2TmScSe4
Computed powder diffraction line list, Cu Ka. Input: a cell relaxed with PBE.

Atomic structure:
Cell lengths 7.151, 4.140, 7.359 Å; angles 90.00, 108.99, 90.00 degrees
Space group P2/m (No. 10)
Asymmetric unit:
1 Sr 0.000 0.000 0.000 [1 per cell]
2 Sr 0.500 0.500 0.000 [1 per cell]
3 Tm 0.000 0.500 0.500 [1 per cell]
4 Sc 0.500 0.000 0.500 [1 per cell]
5 Se 0.245 0.000 0.723 [2 per cell]
6 Se 0.264 0.500 0.280 [2 per cell]

Principal peaks in the range 10 to 90 degrees two-theta, in order of rising 2θ:
2θ = 30.3°, d = 2.952 Å, I = 100.0, (1 1 1)
2θ = 42.9°, d = 2.109 Å, I = 35.2, (2 0 2)
2θ = 43.8°, d = 2.067 Å, I = 36.6, (0 2 0)
2θ = 54.1°, d = 1.695 Å, I = 12.6, (2 2 -2)
2θ = 63.0°, d = 1.476 Å, I = 11.1, (2 2 2)
2θ = 70.7°, d = 1.332 Å, I = 9.2, (0 2 4)
2θ = 72.1°, d = 1.309 Å, I = 10.6, (4 2 0)
2θ = 79.8°, d = 1.202 Å, I = 7.6, (1 3 -3)

# 4
# TbTm5Sc2In
Computed powder diffraction line list, Cu Ka. Input: a cell relaxed with PBE.

Atomic structure:
Cell lengths 5.222, 19.385, 10.354 Å; angles 90.00, 90.00, 90.00 degrees
Space group Cmcm (No. 63)
Asymmetric unit:
1 Tb 0.000 0.202 0.250 [4 per cell]
2 Tm 0.000 0.008 0.250 [4 per cell]
3 Tm 0.000 0.291 0.547 [8 per cell]
4 Tm 0.000 0.380 0.250 [4 per cell]
5 Tm 0.000 0.500 0.000 [4 per cell]
6 Sc 0.000 0.116 0.537 [8 per cell]
7 In 0.000 0.407 0.750 [4 per cell]

Principal peaks in the range 10 to 90 degrees two-theta, in order of rising 2θ:
2θ = 29.0°, d = 3.084 Å, I = 12.5, (0 6 1)
2θ = 31.4°, d = 2.848 Å, I = 25.8, (1 1 3)
2θ = 33.6°, d = 2.668 Å, I = 100.0, (1 5 2)
2θ = 34.3°, d = 2.611 Å, I = 29.6, (2 0 0)
2θ = 34.7°, d = 2.589 Å, I = 18.3, (0 0 4)
2θ = 46.9°, d = 1.938 Å, I = 7.8, (0 10 0)
2θ = 49.6°, d = 1.838 Å, I = 13.2, (2 0 4)
2θ = 61.0°, d = 1.518 Å, I = 17.8, (3 5 2)